The following is a simulated powder diffractogram of La8TbTm3. It was derived from a structure optimized by DFT (PBE), using Cu Ka.
Intensities are scaled so that the largest is 100.

Principal peaks in the range 10° ≤ 2θ ≤ 80°, sorted by position:
2θ = 30.83°, rel. 100, (-2 1 1); 2θ = 44.16°, rel. 17, (2 -2 2); 2θ = 54.80°, rel. 19, (3 0 0); 2θ = 54.89°, rel. 10, (-3 3 3); 2θ = 61.17°, rel. 15, (2 -5 3); 2θ = 78.47°, rel. 6, (3 -4 4)

Lattice parameters (Å, degrees): 5.7927 9.1714 9.1759 101.58 108.39 108.31
Space group P1 (No. 1)
One atom of each set of equivalent atoms:
1 La 0.0000 0.0000 0.0000
2 La 0.9996 0.2473 0.7534
3 La 0.3385 0.3412 0.3343
4 La 0.3376 0.5811 0.0936
5 La 0.6642 0.5394 0.7895
6 La 0.6649 0.0373 0.2930
7 La 0.9929 0.7350 0.2518
8 La 0.9949 0.5001 0.4889
9 Tb 0.6496 0.2729 0.0259
10 Tm 0.3247 0.0697 0.5809
11 Tm 0.3261 0.8283 0.8234
12 Tm 0.6764 0.8000 0.5529